[1]
For CeY3Ho, a structure optimized by DFT (PBE) gives the simulated X-ray diffraction stick pattern in this record (a wavelength of 1.5418 Å).

Crystal structure
```
data_CeY3Ho
_space_group_name_H-M_alt 'P 1'
_space_group_IT_number 1
_cell_length_a 9.3023
_cell_length_b 9.3023
_cell_length_c 12.0298
_cell_angle_alpha 92.37
_cell_angle_beta 92.37
_cell_angle_gamma 141.23
loop_
_space_group_symop_operation_xyz
'x,y,z'
loop_
_atom_site_label
_atom_site_fract_x
_atom_site_fract_y
_atom_site_fract_z
_atom_site_occupancy
Ce1 0.1161 0.8839 0.7500 1
Ce2 0.2364 0.7636 0.2500 1
Ce3 0.7636 0.2364 0.7500 1
Ce4 0.8839 0.1161 0.2500 1
Y1 0.0597 0.2272 0.5330 1
Y2 0.2272 0.0597 0.0330 1
Y3 0.2584 0.7324 0.9137 1
Y4 0.2676 0.7416 0.5863 1
Y5 0.3075 0.4935 0.1012 1
Y6 0.4935 0.3075 0.6012 1
Y7 0.5065 0.6925 0.3988 1
Y8 0.6925 0.5065 0.8988 1
Y9 0.7324 0.2584 0.4137 1
Y10 0.7416 0.2676 0.0863 1
Y11 0.7728 0.9403 0.9670 1
Y12 0.9403 0.7728 0.4670 1
Ho1 0.2188 0.3302 0.8152 1
Ho2 0.3302 0.2188 0.3152 1
Ho3 0.6698 0.7812 0.6848 1
Ho4 0.7812 0.6698 0.1848 1
```

Principal peaks in the range 2θ from 10° to 80°, by angle:
d (Å), I/Imax
3.474, 9
2.925, 24
2.891, 45
2.841, 18
2.784, 100
2.510, 23
2.494, 20
1.852, 9
1.784, 8
1.552, 9

=====

[2]
For PrYTlTe, a structure optimized by DFT (PBE) gives the simulated X-ray diffraction stick pattern in this record (a wavelength of 1.5418 Å).

Crystal structure
```
data_PrYTlTe
_space_group_name_H-M_alt 'P 1'
_space_group_IT_number 1
_cell_length_a 4.2796
_cell_length_b 4.2796
_cell_length_c 23.9202
_cell_angle_alpha 90.00
_cell_angle_beta 90.00
_cell_angle_gamma 120.00
loop_
_space_group_symop_operation_xyz
'x,y,z'
loop_
_atom_site_label
_atom_site_fract_x
_atom_site_fract_y
_atom_site_fract_z
_atom_site_occupancy
Pr1 0.0000 0.0000 0.0000 1
Pr2 0.3333 0.6667 0.6667 1
Pr3 0.6667 0.3333 0.3333 1
Y1 0.0000 0.0000 0.5030 1
Y2 0.3333 0.6667 0.1697 1
Y3 0.6667 0.3333 0.8363 1
Tl1 0.0000 0.0000 0.7544 1
Tl2 0.3333 0.6667 0.4211 1
Tl3 0.6667 0.3333 0.0878 1
Te1 0.0000 0.0000 0.2476 1
Te2 0.3333 0.6667 0.9142 1
Te3 0.6667 0.3333 0.5809 1
```

Principal peaks in the range 2θ from 10° to 80°, by angle:
d (Å), I/Imax
3.150, 100
2.327, 43
2.140, 34
1.993, 9
1.770, 19
1.575, 13
1.459, 19
1.386, 8
1.364, 16
1.269, 12

=====

Please write out number 2 again, unchanged.
For PrYTlTe, a structure optimized by DFT (PBE) gives the simulated X-ray diffraction stick pattern in this record (a wavelength of 1.5418 Å).

Crystal structure
```
data_PrYTlTe
_space_group_name_H-M_alt 'P 1'
_space_group_IT_number 1
_cell_length_a 4.2796
_cell_length_b 4.2796
_cell_length_c 23.9202
_cell_angle_alpha 90.00
_cell_angle_beta 90.00
_cell_angle_gamma 120.00
loop_
_space_group_symop_operation_xyz
'x,y,z'
loop_
_atom_site_label
_atom_site_fract_x
_atom_site_fract_y
_atom_site_fract_z
_atom_site_occupancy
Pr1 0.0000 0.0000 0.0000 1
Pr2 0.3333 0.6667 0.6667 1
Pr3 0.6667 0.3333 0.3333 1
Y1 0.0000 0.0000 0.5030 1
Y2 0.3333 0.6667 0.1697 1
Y3 0.6667 0.3333 0.8363 1
Tl1 0.0000 0.0000 0.7544 1
Tl2 0.3333 0.6667 0.4211 1
Tl3 0.6667 0.3333 0.0878 1
Te1 0.0000 0.0000 0.2476 1
Te2 0.3333 0.6667 0.9142 1
Te3 0.6667 0.3333 0.5809 1
```

Principal peaks in the range 2θ from 10° to 80°, by angle:
d (Å), I/Imax
3.150, 100
2.327, 43
2.140, 34
1.993, 9
1.770, 19
1.575, 13
1.459, 19
1.386, 8
1.364, 16
1.269, 12